1.
Structure and simulated X-ray powder pattern of LiHfPt (a cell relaxed with PBE; Cu Kα).
Lines closer than 0.1° are merged.

Atomic structure:
a = 3.4766 Å, b = 3.4766 Å, c = 8.4034 Å
α = 90.00°, β = 90.00°, γ = 90.00°
Atoms (fractional coordinates):
Li 0.0000 0.0000 0.0000
Li 0.5000 0.5000 0.5000
Hf 0.0000 0.0000 0.6852
Hf 0.5000 0.5000 0.1852
Pt 0.0000 0.0000 0.3348
Pt 0.5000 0.5000 0.8348

Principal peaks in the range 2θ from 15° to 90°, by angle:
2θ/deg	I/Imax
21.14	462
27.77	557
36.55	722
41.39	1000
42.61	307
52.65	257
57.36	129
61.26	156
69.10	447
78.62	145



2.
Structure and simulated X-ray powder pattern of Ho4Sc3 (a cell relaxed with PBE; Cu Kα).
Lines closer than 0.1° are merged.

Atomic structure:
a = 10.7042 Å, b = 4.8484 Å, c = 7.6541 Å
α = 90.00°, β = 98.54°, γ = 90.00°
Atoms (fractional coordinates):
Ho 0.1408 0.0000 0.4241
Ho 0.2135 0.5000 0.1393
Ho 0.2865 0.0000 0.8607
Ho 0.3592 0.5000 0.5759
Ho 0.6408 0.5000 0.4241
Ho 0.7135 0.0000 0.1393
Ho 0.7865 0.5000 0.8607
Ho 0.8592 0.0000 0.5759
Sc 0.0000 0.0000 0.0000
Sc 0.0710 0.5000 0.7131
Sc 0.4290 0.0000 0.2869
Sc 0.5000 0.5000 0.0000
Sc 0.5710 0.0000 0.7131
Sc 0.9290 0.5000 0.2869

Principal peaks in the range 2θ from 15° to 90°, by angle:
2θ/deg	I/Imax
16.75	122
21.87	85
22.71	124
30.16	77
32.14	1000
37.11	340
37.64	162
53.48	117
53.85	173
63.76	204